LiThCdHg6: computed powder X-ray diffraction pattern (Cu Kα (weighted mean of Kα1 and Kα2)), based on a DFT-relaxed cell (GGA-PBE, Alexandria).
Kinematic intensities with the Lorentz-polarization factor, no thermal factor.

Atomic structure:
```
LiThCdHg6
1.0
-3.843 4.923 6.112
3.843 -4.923 6.112
3.843 4.923 -6.112
Li Th Cd Hg
2 2 2 12
Direct
0.000 0.000 0.000 Li
0.500 0.000 0.500 Li
0.458 0.208 0.250 Th
0.542 0.792 0.750 Th
0.000 0.000 0.500 Cd
0.000 0.500 0.000 Cd
0.165 0.418 0.344 Hg
0.165 0.820 0.747 Hg
0.189 0.939 0.250 Hg
0.196 0.446 0.750 Hg
0.426 0.180 0.844 Hg
0.426 0.582 0.247 Hg
0.574 0.418 0.753 Hg
0.574 0.820 0.156 Hg
0.804 0.554 0.250 Hg
0.811 0.061 0.750 Hg
0.835 0.180 0.253 Hg
0.835 0.582 0.656 Hg
```

Largest 10 diffraction maxima, in order of rising 2θ, 2θ from 5° to 70°:
- 3.170 Å, I = 21
- 3.029 Å, I = 100
- 2.689 Å, I = 78
- 2.596 Å, I = 53
- 2.556 Å, I = 44
- 2.461 Å, I = 30
- 2.445 Å, I = 28
- 2.392 Å, I = 24
- 1.610 Å, I = 37
- 1.513 Å, I = 21



LiTmCdHg4: computed powder X-ray diffraction pattern (Cu Kα (weighted mean of Kα1 and Kα2)), based on a DFT-relaxed cell (GGA-PBE, Alexandria).
Kinematic intensities with the Lorentz-polarization factor, no thermal factor.

Atomic structure:
```
LiTmCdHg4
1.0
4.954 -7.451 0.000
4.954 7.451 0.000
0.000 0.000 5.681
Li Tm Cd Hg
2 2 2 8
Direct
0.140 0.860 0.750 Li
0.860 0.140 0.250 Li
0.354 0.646 0.750 Tm
0.646 0.354 0.250 Tm
0.244 0.756 0.250 Cd
0.756 0.244 0.750 Cd
0.000 0.500 0.000 Hg
0.000 0.500 0.500 Hg
0.045 0.955 0.250 Hg
0.446 0.554 0.250 Hg
0.500 0.000 0.000 Hg
0.500 0.000 0.500 Hg
0.554 0.446 0.750 Hg
0.955 0.045 0.750 Hg
```

Largest 10 diffraction maxima, in order of rising 2θ, 2θ from 5° to 70°:
- 7.451 Å, I = 34
- 4.126 Å, I = 99
- 3.726 Å, I = 30
- 2.654 Å, I = 33
- 2.550 Å, I = 86
- 2.478 Å, I = 62
- 2.464 Å, I = 100
- 2.062 Å, I = 59
- 2.055 Å, I = 24
- 1.811 Å, I = 22



LiZrCdHg: computed powder X-ray diffraction pattern (Cu Kα (weighted mean of Kα1 and Kα2)), based on a DFT-relaxed cell (GGA-PBE, Alexandria).
Kinematic intensities with the Lorentz-polarization factor, no thermal factor.

Atomic structure:
```
LiZrCdHg
1.0
3.260 0.000 0.000
0.000 3.260 0.000
0.000 0.000 7.433
Li Zr Cd Hg
1 1 1 1
Direct
0.000 0.000 0.000 Li
0.000 0.000 0.491 Zr
0.500 0.500 0.772 Cd
0.500 0.500 0.216 Hg
```

Largest 10 diffraction maxima, in order of rising 2θ, 2θ from 5° to 70°:
- 7.433 Å, I = 18
- 3.716 Å, I = 19
- 3.260 Å, I = 32
- 2.985 Å, I = 30
- 2.451 Å, I = 100
- 2.305 Å, I = 46
- 1.959 Å, I = 13
- 1.630 Å, I = 15
- 1.447 Å, I = 14
- 1.357 Å, I = 31



Mg3Cd4Hg8: computed powder X-ray diffraction pattern (Cu Kα (weighted mean of Kα1 and Kα2)), based on a DFT-relaxed cell (GGA-PBE, Alexandria).
Kinematic intensities with the Lorentz-polarization factor, no thermal factor.

Atomic structure:
```
Mg3Cd4Hg8
1.0
5.922 -5.947 0.000
5.922 5.947 0.000
-3.589 0.000 5.474
Mg Cd Hg
3 4 8
Direct
0.000 0.000 0.000 Mg
0.000 0.500 0.500 Mg
0.500 0.000 0.500 Mg
0.000 0.500 0.000 Cd
0.500 0.000 0.000 Cd
0.500 0.500 0.000 Cd
0.500 0.500 0.500 Cd
0.231 0.231 0.495 Hg
0.232 0.232 0.971 Hg
0.236 0.764 0.500 Hg
0.246 0.754 0.000 Hg
0.754 0.246 0.000 Hg
0.764 0.236 0.500 Hg
0.768 0.768 0.029 Hg
0.769 0.769 0.505 Hg
```

Largest 10 diffraction maxima, in order of rising 2θ, 2θ from 5° to 70°:
- 3.806 Å, I = 87
- 2.974 Å, I = 100
- 2.867 Å, I = 44
- 2.737 Å, I = 80
- 2.724 Å, I = 78
- 2.476 Å, I = 58
- 2.014 Å, I = 65
- 2.009 Å, I = 65
- 1.903 Å, I = 52
- 1.434 Å, I = 22



Mg8Cd3Hg2: computed powder X-ray diffraction pattern (Cu Kα (weighted mean of Kα1 and Kα2)), based on a DFT-relaxed cell (GGA-PBE, Alexandria).
Kinematic intensities with the Lorentz-polarization factor, no thermal factor.

Atomic structure:
```
Mg8Cd3Hg2
1.0
6.691 -4.075 0.000
6.691 4.075 0.000
-0.456 0.000 5.601
Mg Cd Hg
8 3 2
Direct
0.067 0.689 0.083 Mg
0.099 0.099 0.400 Mg
0.311 0.311 0.679 Mg
0.311 0.933 0.917 Mg
0.689 0.067 0.083 Mg
0.689 0.689 0.321 Mg
0.901 0.901 0.600 Mg
0.933 0.311 0.917 Mg
0.318 0.682 0.500 Cd
0.500 0.500 0.000 Cd
0.682 0.318 0.500 Cd
0.281 0.281 0.181 Hg
0.719 0.719 0.819 Hg
```

Largest 10 diffraction maxima, in order of rising 2θ, 2θ from 5° to 70°:
- 6.954 Å, I = 100
- 4.464 Å, I = 95
- 4.274 Å, I = 81
- 4.075 Å, I = 41
- 3.477 Å, I = 66
- 2.535 Å, I = 72
- 2.510 Å, I = 61
- 2.402 Å, I = 69
- 2.389 Å, I = 89
- 2.356 Å, I = 71



Mg5Cd2Hg4: computed powder X-ray diffraction pattern (Cu Kα (weighted mean of Kα1 and Kα2)), based on a DFT-relaxed cell (GGA-PBE, Alexandria).
Kinematic intensities with the Lorentz-polarization factor, no thermal factor.

Atomic structure:
```
Mg5Cd2Hg4
1.0
5.514 0.000 0.000
1.309 6.289 0.000
1.954 0.955 7.542
Mg Cd Hg
5 2 4
Direct
0.000 0.000 0.000 Mg
0.221 0.647 0.510 Mg
0.444 0.286 0.920 Mg
0.556 0.714 0.080 Mg
0.779 0.353 0.490 Mg
0.297 0.147 0.614 Cd
0.703 0.853 0.386 Cd
0.091 0.554 0.163 Hg
0.214 0.073 0.273 Hg
0.786 0.927 0.727 Hg
0.909 0.446 0.837 Hg
```

Largest 10 diffraction maxima, in order of rising 2θ, 2θ from 5° to 70°:
- 5.263 Å, I = 51
- 4.407 Å, I = 73
- 3.926 Å, I = 79
- 3.451 Å, I = 63
- 2.518 Å, I = 84
- 2.503 Å, I = 100
- 2.467 Å, I = 81
- 2.441 Å, I = 69
- 2.329 Å, I = 54
- 2.168 Å, I = 59



MgCdHg6: computed powder X-ray diffraction pattern (Cu Kα (weighted mean of Kα1 and Kα2)), based on a DFT-relaxed cell (GGA-PBE, Alexandria).
Kinematic intensities with the Lorentz-polarization factor, no thermal factor.

Atomic structure:
```
MgCdHg6
1.0
4.084 -6.919 0.000
4.084 6.919 0.000
0.000 0.000 7.751
Mg Cd Hg
2 2 12
Direct
0.250 0.250 0.000 Mg
0.750 0.750 0.000 Mg
0.250 0.750 0.566 Cd
0.750 0.250 0.434 Cd
0.077 0.312 0.689 Hg
0.145 0.855 0.936 Hg
0.188 0.423 0.311 Hg
0.312 0.077 0.311 Hg
0.355 0.645 0.936 Hg
0.423 0.188 0.689 Hg
0.577 0.812 0.311 Hg
0.645 0.355 0.064 Hg
0.688 0.923 0.689 Hg
0.812 0.577 0.689 Hg
0.855 0.145 0.064 Hg
0.923 0.688 0.311 Hg
```

Largest 10 diffraction maxima, in order of rising 2θ, 2θ from 5° to 70°:
- 3.613 Å, I = 48
- 3.460 Å, I = 100
- 2.811 Å, I = 71
- 2.583 Å, I = 53
- 2.526 Å, I = 65
- 2.499 Å, I = 80
- 2.425 Å, I = 37
- 2.244 Å, I = 36
- 2.182 Å, I = 60
- 2.070 Å, I = 37



MgCd4Hg9: computed powder X-ray diffraction pattern (Cu Kα (weighted mean of Kα1 and Kα2)), based on a DFT-relaxed cell (GGA-PBE, Alexandria).
Kinematic intensities with the Lorentz-polarization factor, no thermal factor.

Atomic structure:
```
MgCd4Hg9
1.0
9.206 0.000 0.000
-4.594 7.980 0.000
-0.001 -0.002 9.848
Mg Cd Hg
2 8 18
Direct
0.167 0.333 0.250 Mg
0.833 0.667 0.750 Mg
0.268 0.884 0.250 Cd
0.382 0.768 0.750 Cd
0.384 0.117 0.750 Cd
0.500 0.000 0.000 Cd
0.500 0.000 0.500 Cd
0.616 0.883 0.250 Cd
0.618 0.232 0.250 Cd
0.732 0.116 0.750 Cd
0.036 0.072 0.751 Hg
0.036 0.464 0.750 Hg
0.083 0.791 0.535 Hg
0.083 0.792 0.965 Hg
0.291 0.208 0.466 Hg
0.291 0.583 0.035 Hg
0.291 0.583 0.465 Hg
0.292 0.209 0.034 Hg
0.428 0.465 0.749 Hg
0.572 0.535 0.251 Hg
0.708 0.791 0.966 Hg
0.709 0.417 0.535 Hg
0.709 0.417 0.965 Hg
0.709 0.792 0.534 Hg
0.917 0.208 0.035 Hg
0.917 0.209 0.465 Hg
0.964 0.536 0.250 Hg
0.964 0.928 0.249 Hg
```

Largest 10 diffraction maxima, in order of rising 2θ, 2θ from 5° to 70°:
- 3.099 Å, I = 30
- 3.036 Å, I = 17
- 3.015 Å, I = 14
- 2.659 Å, I = 15
- 2.570 Å, I = 100
- 2.535 Å, I = 15
- 2.462 Å, I = 19
- 1.598 Å, I = 16
- 1.583 Å, I = 21
- 1.518 Å, I = 19